For Na3Mg4Mo6O24, a structure optimized by DFT (PBE+U) gives the computed powder diffraction line list in this record (λ = 1.5418 Å (Cu Kα)).
Kinematic intensities with the Lorentz-polarization factor, no thermal factor.

Cell and atoms:
```
Na3Mg4Mo6O24
1.0
7.093 0.000 0.000
-2.169 8.555 0.000
-2.769 -3.886 9.353
Na Mg Mo O
3 4 6 24
direct
0.000 0.000 0.000
0.291 0.798 0.302
0.709 0.202 0.698
0.041 0.697 0.517
0.373 0.458 0.100
0.627 0.542 0.900
0.959 0.303 0.483
0.118 0.598 0.835
0.208 0.163 0.760
0.401 0.246 0.366
0.599 0.754 0.634
0.792 0.837 0.240
0.882 0.402 0.165
0.019 0.228 0.656
0.075 0.556 0.646
0.120 0.506 0.148
0.156 0.943 0.670
0.177 0.814 0.922
0.208 0.212 0.939
0.248 0.030 0.255
0.254 0.324 0.469
0.331 0.536 0.923
0.352 0.743 0.519
0.431 0.357 0.250
0.461 0.279 0.770
0.539 0.721 0.230
0.569 0.643 0.750
0.648 0.257 0.481
0.669 0.464 0.077
0.746 0.676 0.531
0.752 0.970 0.745
0.792 0.788 0.061
0.823 0.186 0.078
0.844 0.057 0.330
0.880 0.494 0.852
0.925 0.444 0.354
0.981 0.772 0.344
```

Main lines, most intense first (15° ≤ 2θ ≤ 90°):
| two_theta | Rel. int. | (hkl) |
| --- | --- | --- |
| 27.68 | 100 | 0 2 1 |
| 26.41 | 91 | 0 1 -3 |
| 25.92 | 75 | 2 0 -1 |
| 18.99 | 73 | 0 0 2 |
| 20.83 | 72 | 1 1 -2 |
| 26.61 | 68 | 1 -2 2 |
| 21.90 | 62 | 1 -2 0 |
| 27.43 | 38 | 1 2 -1 |